# 1
# NdTiBi3
Simulated PXRD pattern, Cu Ka. Input: a GGA-PBE-relaxed structure.
No peak broadening, texture or thermal motion is included.

The 10 most intense peaks (5 to 70 degrees two-theta), sorted by position:
2θ 26.31, rel. 28.2; 2θ 27.71, rel. 100.0; 2θ 28.74, rel. 45.9; 2θ 30.07, rel. 96.9; 2θ 30.98, rel. 57.6; 2θ 32.86, rel. 99.8; 2θ 34.41, rel. 30.6; 2θ 39.24, rel. 83.6; 2θ 47.86, rel. 27.7; 2θ 65.01, rel. 37.2

```
data_NdTiBi3
_space_group_name_H-M_alt 'P 1'
_space_group_IT_number 1
_cell_length_a 13.549
_cell_length_b 6.613
_cell_length_c 6.381
_cell_angle_alpha 90.00
_cell_angle_beta 90.00
_cell_angle_gamma 90.00
loop_
_space_group_symop_operation_xyz
'x,y,z'
loop_
_atom_site_label
_atom_site_fract_x
_atom_site_fract_y
_atom_site_fract_z
Nd1 0.188 0.009 0.250
Nd2 0.188 0.491 0.750
Nd3 0.812 0.509 0.250
Nd4 0.812 0.991 0.750
Ti1 0.406 0.750 0.000
Ti2 0.406 0.750 0.500
Ti3 0.594 0.250 0.000
Ti4 0.594 0.250 0.500
Bi1 0.003 0.750 0.000
Bi2 0.003 0.750 0.500
Bi3 0.269 0.509 0.250
Bi4 0.269 0.991 0.750
Bi5 0.430 0.106 0.250
Bi6 0.430 0.394 0.750
Bi7 0.570 0.606 0.250
Bi8 0.570 0.894 0.750
Bi9 0.731 0.009 0.250
Bi10 0.731 0.491 0.750
Bi11 0.997 0.250 0.000
Bi12 0.997 0.250 0.500
```

=====

# 2
# LiNp2Ga6
Simulated PXRD pattern, Cu Ka. Input: a GGA-PBE-relaxed structure.
No peak broadening, texture or thermal motion is included.

The 10 most intense peaks (5 to 70 degrees two-theta), sorted by position:
2θ 12.56, rel. 34.2; 2θ 21.84, rel. 13.9; 2θ 25.27, rel. 11.1; 2θ 33.62, rel. 18.6; 2θ 38.29, rel. 100.0; 2θ 46.43, rel. 8.5; 2θ 55.27, rel. 18.6; 2θ 56.93, rel. 8.3; 2θ 69.24, rel. 20.1; 2θ 69.27, rel. 7.9

```
data_LiNp2Ga6
_space_group_name_H-M_alt 'P 1'
_space_group_IT_number 1
_cell_length_a 8.138
_cell_length_b 8.138
_cell_length_c 2.882
_cell_angle_alpha 90.00
_cell_angle_beta 90.00
_cell_angle_gamma 120.00
loop_
_space_group_symop_operation_xyz
'x,y,z'
loop_
_atom_site_label
_atom_site_fract_x
_atom_site_fract_y
_atom_site_fract_z
Li1 0.000 0.000 0.000
Np1 0.333 0.667 0.000
Np2 0.667 0.333 0.000
Ga1 0.000 0.322 0.500
Ga2 0.000 0.678 0.500
Ga3 0.322 0.000 0.500
Ga4 0.322 0.322 0.500
Ga5 0.678 0.000 0.500
Ga6 0.678 0.678 0.500
```

=====

# 3
# CdAg
Simulated PXRD pattern, Cu Ka. Input: a GGA-PBE-relaxed structure.
No peak broadening, texture or thermal motion is included.

The 10 most intense peaks (5 to 70 degrees two-theta), sorted by position:
2θ 36.51, rel. 100.0; 2θ 37.45, rel. 92.6; 2θ 38.17, rel. 51.4; 2θ 38.66, rel. 37.0; 2θ 43.33, rel. 32.0; 2θ 51.09, rel. 14.3; 2θ 55.46, rel. 24.7; 2θ 65.52, rel. 13.0; 2θ 67.91, rel. 15.1; 2θ 68.52, rel. 14.5

```
data_CdAg
_space_group_name_H-M_alt 'P 1'
_space_group_IT_number 1
_cell_length_a 5.776
_cell_length_b 5.776
_cell_length_c 4.715
_cell_angle_alpha 90.00
_cell_angle_beta 90.00
_cell_angle_gamma 150.03
loop_
_space_group_symop_operation_xyz
'x,y,z'
loop_
_atom_site_label
_atom_site_fract_x
_atom_site_fract_y
_atom_site_fract_z
Cd1 0.168 0.832 0.750
Cd2 0.832 0.168 0.250
Ag1 0.428 0.572 0.750
Ag2 0.572 0.428 0.250
```

=====

# 4
# K4U5Te2O21
Simulated PXRD pattern, Cu Ka. Input: a GGA-PBE-relaxed structure.
No peak broadening, texture or thermal motion is included.

The 10 most intense peaks (5 to 70 degrees two-theta), sorted by position:
2θ 12.73, rel. 18.6; 2θ 14.04, rel. 100.0; 2θ 24.49, rel. 22.0; 2θ 25.25, rel. 31.0; 2θ 25.80, rel. 26.0; 2θ 26.41, rel. 42.1; 2θ 27.80, rel. 36.5; 2θ 28.02, rel. 22.5; 2θ 29.07, rel. 16.3; 2θ 31.28, rel. 18.7

```
data_K4U5Te2O21
_space_group_name_H-M_alt 'P 1'
_space_group_IT_number 1
_cell_length_a 7.114
_cell_length_b 7.198
_cell_length_c 11.612
_cell_angle_alpha 100.31
_cell_angle_beta 95.61
_cell_angle_gamma 99.57
loop_
_space_group_symop_operation_xyz
'x,y,z'
loop_
_atom_site_label
_atom_site_fract_x
_atom_site_fract_y
_atom_site_fract_z
K1 0.067 0.293 0.084
K2 0.196 0.843 0.266
K3 0.804 0.157 0.734
K4 0.933 0.707 0.916
U1 0.276 0.871 0.686
U2 0.373 0.428 0.821
U3 0.500 0.000 0.000
U4 0.627 0.572 0.179
U5 0.724 0.129 0.314
Te1 0.177 0.309 0.516
Te2 0.823 0.691 0.484
O1 0.032 0.865 0.732
O2 0.091 0.765 0.490
O3 0.125 0.390 0.867
O4 0.219 0.526 0.642
O5 0.253 0.167 0.629
O6 0.255 0.985 0.048
O7 0.376 0.752 0.848
O8 0.387 0.538 0.232
O9 0.407 0.121 0.840
O10 0.493 0.128 0.374
O11 0.500 0.500 0.000
O12 0.507 0.872 0.626
O13 0.593 0.879 0.160
O14 0.613 0.462 0.768
O15 0.624 0.248 0.152
O16 0.745 0.015 0.952
O17 0.747 0.833 0.371
O18 0.781 0.474 0.358
O19 0.875 0.610 0.133
O20 0.909 0.235 0.510
O21 0.968 0.135 0.268
```